Diffraction record for MoPt2Pb2. The powder XRD pattern is theoretical, not measured: it uses a PBE-relaxed structure and a wavelength of 1.5418 Å.
Peak positions follow from Bragg's law for the DFT cell and can differ from measured ones.

Structure:
Cell: 4.316 4.316 12.415 Å, 90.00 90.00 90.00°
Positions (direct):
Mo: 0.000 0.000 0.000
Mo: 0.500 0.500 0.500
Pt: 0.000 0.000 0.398
Pt: 0.000 0.000 0.602
Pt: 0.500 0.500 0.102
Pt: 0.500 0.500 0.898
Pb: 0.000 0.500 0.250
Pb: 0.000 0.500 0.750
Pb: 0.500 0.000 0.250
Pb: 0.500 0.000 0.750

Main lines, low angle first (2θ = 10–80°):
- d 4.077, 21.80 deg, I = 31
- d 2.739, 32.70 deg, I = 100
- d 2.176, 41.50 deg, I = 56
- d 2.158, 41.86 deg, I = 54
- d 2.152, 41.98 deg, I = 31
- d 1.525, 60.74 deg, I = 39
- d 1.333, 70.66 deg, I = 22
- d 1.249, 76.20 deg, I = 20

***

Diffraction record for MoPtPb. The powder XRD pattern is theoretical, not measured: it uses a PBE-relaxed structure and a wavelength of 1.5418 Å.
Peak positions follow from Bragg's law for the DFT cell and can differ from measured ones.

Structure:
Cell: 3.039 3.039 12.467 Å, 90.00 90.00 90.00°
Positions (direct):
Mo: 0.000 0.000 0.000
Mo: 0.500 0.500 0.500
Pt: 0.000 0.000 0.370
Pt: 0.500 0.500 0.870
Pb: 0.000 0.000 0.680
Pb: 0.500 0.500 0.180

Main lines, low angle first (2θ = 10–80°):
- d 2.953, 30.27 deg, I = 12
- d 2.453, 36.63 deg, I = 100
- d 2.149, 42.05 deg, I = 37
- d 2.078, 43.56 deg, I = 12
- d 1.537, 60.23 deg, I = 10
- d 1.520, 60.97 deg, I = 12
- d 1.494, 62.14 deg, I = 17
- d 1.292, 73.28 deg, I = 27

***

Diffraction record for Rb2MoPbS4. The powder XRD pattern is theoretical, not measured: it uses a PBE-relaxed structure and a wavelength of 1.5418 Å.
Peak positions follow from Bragg's law for the DFT cell and can differ from measured ones.

Structure:
Cell: 7.929 7.929 8.385 Å, 90.00 90.00 90.00°
Positions (direct):
Rb: 0.000 0.000 0.000
Rb: 0.000 0.500 0.250
Rb: 0.500 0.000 0.750
Rb: 0.500 0.500 0.500
Mo: 0.000 0.000 0.500
Mo: 0.500 0.500 0.000
Pb: 0.000 0.500 0.750
Pb: 0.500 0.000 0.250
S: 0.148 0.809 0.642
S: 0.191 0.148 0.358
S: 0.309 0.352 0.858
S: 0.352 0.691 0.142
S: 0.648 0.309 0.142
S: 0.691 0.648 0.858
S: 0.809 0.852 0.358
S: 0.852 0.191 0.642

Main lines, low angle first (2θ = 10–80°):
- d 5.761, 15.38 deg, I = 30
- d 3.964, 22.43 deg, I = 53
- d 3.358, 26.55 deg, I = 100
- d 2.803, 31.93 deg, I = 34
- d 2.152, 41.99 deg, I = 60
- d 1.853, 49.17 deg, I = 23
- d 1.773, 51.55 deg, I = 18
- d 1.458, 63.85 deg, I = 17

***

Diffraction record for Mo6PbSe4S4. The powder XRD pattern is theoretical, not measured: it uses a PBE-relaxed structure and a wavelength of 1.5418 Å.
Peak positions follow from Bragg's law for the DFT cell and can differ from measured ones.

Structure:
Cell: 6.748 6.845 6.853 Å, 88.88 86.30 85.71°
Positions (direct):
Mo: 0.000 0.000 0.000
Mo: 0.013 0.794 0.347
Mo: 0.132 0.322 0.175
Mo: 0.157 0.105 0.519
Mo: 0.336 0.964 0.193
Mo: 0.810 0.148 0.328
Pb: 0.599 0.669 0.824
Se: 0.323 0.170 0.866
Se: 0.334 0.762 0.510
Se: 0.814 0.332 0.000
Se: 0.940 0.437 0.508
S: 0.191 0.680 0.035
S: 0.432 0.267 0.354
S: 0.716 0.846 0.165
S: 0.847 0.956 0.640

Main lines, low angle first (2θ = 10–80°):
- d 6.830, 12.96 deg, I = 55
- d 4.965, 17.86 deg, I = 100
- d 4.647, 19.10 deg, I = 41
- d 2.899, 30.84 deg, I = 49
- d 2.700, 33.18 deg, I = 47
- d 2.279, 39.54 deg, I = 46
- d 2.119, 42.67 deg, I = 44
- d 1.897, 47.96 deg, I = 43

***

Diffraction record for ScMoPb4. The powder XRD pattern is theoretical, not measured: it uses a PBE-relaxed structure and a wavelength of 1.5418 Å.
Peak positions follow from Bragg's law for the DFT cell and can differ from measured ones.

Structure:
Cell: 6.298 6.298 6.298 Å, 60.00 60.00 60.00°
Positions (direct):
Sc: 0.000 0.000 0.000
Mo: 0.750 0.750 0.750
Pb: 0.375 0.375 0.375
Pb: 0.375 0.375 0.875
Pb: 0.375 0.875 0.375
Pb: 0.875 0.375 0.375

Main lines, low angle first (2θ = 10–80°):
- d 5.142, 17.24 deg, I = 57
- d 2.686, 33.36 deg, I = 100
- d 2.571, 34.89 deg, I = 76
- d 2.227, 40.51 deg, I = 26
- d 2.043, 44.33 deg, I = 17
- d 1.714, 53.45 deg, I = 35
- d 1.575, 58.63 deg, I = 36
- d 1.343, 70.08 deg, I = 32

***

Diffraction record for SnMoPb. The powder XRD pattern is theoretical, not measured: it uses a PBE-relaxed structure and a wavelength of 1.5418 Å.
Peak positions follow from Bragg's law for the DFT cell and can differ from measured ones.

Structure:
Cell: 7.273 7.273 7.142 Å, 90.00 90.00 132.39°
Positions (direct):
Sn: 0.203 0.797 0.921
Sn: 0.297 0.703 0.421
Sn: 0.703 0.297 0.579
Sn: 0.797 0.203 0.079
Mo: 0.106 0.894 0.583
Mo: 0.394 0.606 0.083
Mo: 0.606 0.394 0.917
Mo: 0.894 0.106 0.417
Pb: 0.191 0.309 0.750
Pb: 0.309 0.191 0.250
Pb: 0.691 0.809 0.750
Pb: 0.809 0.691 0.250

Main lines, low angle first (2θ = 10–80°):
- d 3.146, 28.37 deg, I = 51
- d 3.016, 29.62 deg, I = 66
- d 2.686, 33.36 deg, I = 47
- d 2.514, 35.72 deg, I = 100
- d 2.295, 39.25 deg, I = 41
- d 2.268, 39.75 deg, I = 57
- d 2.241, 40.24 deg, I = 48
- d 1.616, 56.98 deg, I = 30

***

Diffraction record for TaMo3Pb. The powder XRD pattern is theoretical, not measured: it uses a PBE-relaxed structure and a wavelength of 1.5418 Å.
Peak positions follow from Bragg's law for the DFT cell and can differ from measured ones.

Structure:
Cell: 4.846 4.846 4.846 Å, 90.00 90.00 90.00°
Positions (direct):
Ta: 0.000 0.000 0.000
Mo: 0.000 0.000 0.500
Mo: 0.000 0.500 0.000
Mo: 0.500 0.000 0.000
Pb: 0.500 0.500 0.500

Main lines, low angle first (2θ = 10–80°):
- d 3.427, 26.00 deg, I = 87
- d 2.798, 31.99 deg, I = 45
- d 2.423, 37.10 deg, I = 100
- d 1.979, 45.86 deg, I = 40
- d 1.713, 53.48 deg, I = 69
- d 1.533, 60.40 deg, I = 18
- d 1.399, 66.88 deg, I = 24
- d 1.295, 73.05 deg, I = 21

***

Diffraction record for Ti5MoPb2. The powder XRD pattern is theoretical, not measured: it uses a PBE-relaxed structure and a wavelength of 1.5418 Å.
Peak positions follow from Bragg's law for the DFT cell and can differ from measured ones.

Structure:
Cell: 4.843 4.843 12.527 Å, 90.00 90.00 90.00°
Positions (direct):
Ti: 0.000 0.000 0.000
Ti: 0.000 0.500 0.111
Ti: 0.000 0.500 0.389
Ti: 0.000 0.500 0.611
Ti: 0.000 0.500 0.889
Ti: 0.500 0.000 0.111
Ti: 0.500 0.000 0.389
Ti: 0.500 0.000 0.611
Ti: 0.500 0.000 0.889
Ti: 0.500 0.500 0.500
Mo: 0.000 0.000 0.500
Mo: 0.500 0.500 0.000
Pb: 0.000 0.000 0.250
Pb: 0.000 0.000 0.750
Pb: 0.500 0.500 0.250
Pb: 0.500 0.500 0.750

Main lines, low angle first (2θ = 10–80°):
- d 6.263, 14.14 deg, I = 25
- d 3.424, 26.02 deg, I = 35
- d 3.005, 29.73 deg, I = 34
- d 2.421, 37.13 deg, I = 59
- d 2.311, 38.97 deg, I = 100
- d 1.916, 47.46 deg, I = 16
- d 1.712, 53.52 deg, I = 20
- d 1.376, 68.16 deg, I = 37

***

Diffraction record for TiMoPb2. The powder XRD pattern is theoretical, not measured: it uses a PBE-relaxed structure and a wavelength of 1.5418 Å.
Peak positions follow from Bragg's law for the DFT cell and can differ from measured ones.

Structure:
Cell: 6.868 6.868 6.868 Å, 90.00 90.00 90.00°
Positions (direct):
Ti: 0.000 0.000 0.000
Ti: 0.000 0.500 0.500
Ti: 0.500 0.000 0.500
Ti: 0.500 0.500 0.000
Mo: 0.000 0.000 0.500
Mo: 0.000 0.500 0.000
Mo: 0.500 0.000 0.000
Mo: 0.500 0.500 0.500
Pb: 0.250 0.250 0.250
Pb: 0.250 0.250 0.750
Pb: 0.250 0.750 0.250
Pb: 0.250 0.750 0.750
Pb: 0.750 0.250 0.250
Pb: 0.750 0.250 0.750
Pb: 0.750 0.750 0.250
Pb: 0.750 0.750 0.750

Main lines, low angle first (2θ = 10–80°):
- d 3.965, 22.42 deg, I = 2
- d 3.434, 25.94 deg, I = 27
- d 2.428, 37.02 deg, I = 100
- d 1.983, 45.76 deg, I = 9
- d 1.717, 53.35 deg, I = 17
- d 1.536, 60.26 deg, I = 12
- d 1.402, 66.72 deg, I = 36
- d 1.214, 78.83 deg, I = 11

***

Diffraction record for MoPbW2. The powder XRD pattern is theoretical, not measured: it uses a PBE-relaxed structure and a wavelength of 1.5418 Å.
Peak positions follow from Bragg's law for the DFT cell and can differ from measured ones.

Structure:
Cell: 3.321 4.765 9.261 Å, 90.00 90.00 90.00°
Positions (direct):
Mo: 0.000 0.000 0.000
Mo: 0.500 0.500 0.000
Pb: 0.000 0.500 0.271
Pb: 0.500 0.000 0.271
W: 0.000 0.000 0.546
W: 0.000 0.500 0.774
W: 0.500 0.000 0.774
W: 0.500 0.500 0.546

Main lines, low angle first (2θ = 10–80°):
- d 2.383, 37.76 deg, I = 27
- d 2.348, 38.33 deg, I = 100
- d 2.315, 38.90 deg, I = 22
- d 1.661, 55.33 deg, I = 25
- d 1.369, 68.55 deg, I = 18
- d 1.362, 68.93 deg, I = 9
- d 1.349, 69.69 deg, I = 8
- d 1.343, 70.06 deg, I = 13

***

Diffraction record for Mo2Pd3. The powder XRD pattern is theoretical, not measured: it uses a PBE-relaxed structure and a wavelength of 1.5418 Å.
Peak positions follow from Bragg's law for the DFT cell and can differ from measured ones.

Structure:
Cell: 2.759 2.759 20.136 Å, 90.00 90.00 90.00°
Positions (direct):
Mo: 0.000 0.000 0.101
Mo: 0.000 0.000 0.899
Mo: 0.500 0.500 0.399
Mo: 0.500 0.500 0.601
Pd: 0.000 0.000 0.302
Pd: 0.000 0.000 0.500
Pd: 0.000 0.000 0.698
Pd: 0.500 0.500 0.000
Pd: 0.500 0.500 0.198
Pd: 0.500 0.500 0.802

Main lines, low angle first (2θ = 10–80°):
- d 2.276, 39.60 deg, I = 100
- d 2.014, 45.02 deg, I = 17
- d 1.951, 46.55 deg, I = 31
- d 1.401, 66.76 deg, I = 20
- d 1.380, 67.95 deg, I = 10
- d 1.207, 79.38 deg, I = 12

***

Diffraction record for Mo3Pd8. The powder XRD pattern is theoretical, not measured: it uses a PBE-relaxed structure and a wavelength of 1.5418 Å.
Peak positions follow from Bragg's law for the DFT cell and can differ from measured ones.

Structure:
Cell: 5.820 5.820 5.820 Å, 94.26 94.26 94.26°
Positions (direct):
Mo: 0.000 0.500 0.500
Mo: 0.500 0.000 0.500
Mo: 0.500 0.500 0.000
Pd: 0.099 0.325 0.900
Pd: 0.100 0.901 0.675
Pd: 0.325 0.900 0.099
Pd: 0.359 0.359 0.359
Pd: 0.641 0.641 0.641
Pd: 0.675 0.100 0.901
Pd: 0.900 0.099 0.325
Pd: 0.901 0.675 0.100

Main lines, low angle first (2θ = 10–80°):
- d 2.893, 30.91 deg, I = 15
- d 2.675, 33.51 deg, I = 100
- d 2.508, 35.81 deg, I = 31
- d 2.394, 37.57 deg, I = 73
- d 2.218, 40.68 deg, I = 36
- d 1.812, 50.37 deg, I = 16
- d 1.757, 52.05 deg, I = 48
- d 1.612, 57.13 deg, I = 20